No. 1
For PrSm3Se3O4, a cell relaxed with PBE gives the calculated X-ray powder pattern in this record (Cu Kα (weighted mean of Kα1 and Kα2)).
Intensities are scaled so that the largest is 100.

```
PrSm3Se3O4
1.0
8.4188 0.0000 0.0000
0.0000 1.9897 6.4153
0.0000 -1.9897 6.4153
Pr Sm Se O
1 3 3 4
Cartesian
0.0000 0.0000 0.0000 Pr
2.2196 0.0000 8.5601 Sm
4.2094 0.0000 12.6633 Sm
6.1992 0.0000 8.5601 Sm
1.2685 0.0000 4.3305 Se
4.2094 0.0000 3.8441 Se
7.1502 0.0000 4.3305 Se
0.0000 0.0000 7.7374 O
2.1801 0.0000 0.9375 O
4.2094 0.0000 7.3556 O
6.2387 0.0000 0.9375 O
```

Principal peaks in the range 2θ from 15° to 90°, in order of rising 2θ:
| 2θ (°) | intensity |
| --- | --- |
| 25.3 | 55 |
| 30.7 | 100 |
| 31.7 | 55 |
| 35.2 | 29 |
| 45.6 | 20 |
| 47.4 | 23 |


No. 2
For Tb2DyCd3Ag3, a cell relaxed with PBE gives the calculated X-ray powder pattern in this record (Cu Kα (weighted mean of Kα1 and Kα2)).
Intensities are scaled so that the largest is 100.

```
Tb2DyCd3Ag3
1.0
3.9119 0.0000 0.0000
0.0000 6.8082 3.9335
0.0000 -6.8082 3.9335
Tb Dy Cd Ag
2 1 3 3
Cartesian
0.0000 -4.0547 3.9335 Tb
0.0000 4.0547 3.9335 Tb
0.0000 0.0000 4.7732 Dy
1.9559 -1.7897 2.6278 Cd
1.9559 1.7897 2.6278 Cd
1.9559 0.0000 7.3842 Cd
0.0000 0.0000 1.5933 Ag
1.9559 -2.2631 5.5222 Ag
1.9559 2.2631 5.5222 Ag
```

Principal peaks in the range 2θ from 15° to 90°, in order of rising 2θ:
| 2θ (°) | intensity |
| --- | --- |
| 32.3 | 79 |
| 34.9 | 100 |
| 39.7 | 34 |
| 46.4 | 17 |
| 62.7 | 17 |
| 64.2 | 25 |


No. 3
For HoBiTeO2, a cell relaxed with PBE gives the calculated X-ray powder pattern in this record (Cu Kα (weighted mean of Kα1 and Kα2)).
Intensities are scaled so that the largest is 100.

```
HoBiTeO2
1.0
3.9431 0.0000 0.0000
0.0000 3.9431 0.0000
0.0000 0.0000 12.5353
Ho Bi Te O
2 2 2 4
Cartesian
0.0000 0.0000 0.0000 Ho
1.9715 1.9715 6.2676 Ho
0.0000 0.0000 8.5925 Bi
1.9715 1.9715 2.3248 Bi
0.0000 0.0000 4.3342 Te
1.9715 1.9715 10.6018 Te
0.0000 1.9715 1.0778 O
0.0000 1.9715 7.3454 O
1.9715 0.0000 1.0778 O
1.9715 0.0000 7.3454 O
```

Principal peaks in the range 2θ from 15° to 90°, in order of rising 2θ:
| 2θ (°) | intensity |
| --- | --- |
| 31.2 | 100 |
| 32.1 | 41 |
| 46.0 | 20 |
| 54.9 | 21 |
| 56.7 | 37 |
| 65.0 | 10 |


Copy entry 1 word for word.
For PrSm3Se3O4, a cell relaxed with PBE gives the calculated X-ray powder pattern in this record (Cu Kα (weighted mean of Kα1 and Kα2)).
Intensities are scaled so that the largest is 100.

```
PrSm3Se3O4
1.0
8.4188 0.0000 0.0000
0.0000 1.9897 6.4153
0.0000 -1.9897 6.4153
Pr Sm Se O
1 3 3 4
Cartesian
0.0000 0.0000 0.0000 Pr
2.2196 0.0000 8.5601 Sm
4.2094 0.0000 12.6633 Sm
6.1992 0.0000 8.5601 Sm
1.2685 0.0000 4.3305 Se
4.2094 0.0000 3.8441 Se
7.1502 0.0000 4.3305 Se
0.0000 0.0000 7.7374 O
2.1801 0.0000 0.9375 O
4.2094 0.0000 7.3556 O
6.2387 0.0000 0.9375 O
```

Principal peaks in the range 2θ from 15° to 90°, in order of rising 2θ:
| 2θ (°) | intensity |
| --- | --- |
| 25.3 | 55 |
| 30.7 | 100 |
| 31.7 | 55 |
| 35.2 | 29 |
| 45.6 | 20 |
| 47.4 | 23 |